Diffraction record for Sb4Se3SI4. The powder XRD pattern is theoretical, not measured: it uses a cell relaxed with PBE and Cu Kα (λ = 1.5418 Å).
Kinematic intensities with the Lorentz-polarization factor, no thermal factor.

Largest 10 diffraction maxima, by angle, 10° ≤ 2θ ≤ 90°:
7.065 Å, 2θ = 12.53°, intensity 36
4.797 Å, 2θ = 18.50°, intensity 17
4.524 Å, 2θ = 19.62°, intensity 24
3.533 Å, 2θ = 25.21°, intensity 26
3.143 Å, 2θ = 28.39°, intensity 100
3.062 Å, 2θ = 29.16°, intensity 16
2.794 Å, 2θ = 32.03°, intensity 33
2.667 Å, 2θ = 33.60°, intensity 21
2.080 Å, 2θ = 43.50°, intensity 29
1.987 Å, 2θ = 45.65°, intensity 21

```
Sb4Se3SI4
1.0
9.047 0.000 0.000
0.000 4.161 0.000
-0.041 0.000 11.313
Sb Se S I
4 3 1 4
Direct
0.000 0.000 0.000
0.193 0.500 0.259
0.501 0.000 0.753
0.695 0.500 0.505
0.266 0.000 0.099
0.426 0.500 0.593
0.928 0.500 0.161
0.749 0.000 0.655
0.056 0.000 0.438
0.135 0.500 0.822
0.568 0.000 0.323
0.641 0.500 0.930
```

Diffraction record for Sb2SeSI. The powder XRD pattern is theoretical, not measured: it uses a cell relaxed with PBE and Cu Kα (λ = 1.5418 Å).
Kinematic intensities with the Lorentz-polarization factor, no thermal factor.

Largest 10 diffraction maxima, by angle, 10° ≤ 2θ ≤ 90°:
5.593 Å, 2θ = 15.85°, intensity 55
5.345 Å, 2θ = 16.59°, intensity 22
3.179 Å, 2θ = 28.07°, intensity 100
2.796 Å, 2θ = 32.01°, intensity 79
2.672 Å, 2θ = 33.53°, intensity 35
1.977 Å, 2θ = 45.89°, intensity 28
1.932 Å, 2θ = 47.03°, intensity 53
1.679 Å, 2θ = 54.66°, intensity 30
1.590 Å, 2θ = 58.02°, intensity 28
1.133 Å, 2θ = 85.78°, intensity 19

```
Sb2SeSI
1.0
5.593 0.000 0.000
0.000 5.593 0.000
0.000 0.000 5.345
Sb Se S I
2 1 1 1
Direct
0.000 0.500 0.000
0.500 0.000 0.000
0.000 0.000 0.000
0.500 0.500 0.500
0.000 0.000 0.500
```

Diffraction record for Sn2SbS2I3. The powder XRD pattern is theoretical, not measured: it uses a cell relaxed with PBE and Cu Kα (λ = 1.5418 Å).
Kinematic intensities with the Lorentz-polarization factor, no thermal factor.

Largest 10 diffraction maxima, by angle, 10° ≤ 2θ ≤ 90°:
5.779 Å, 2θ = 15.33°, intensity 25
4.608 Å, 2θ = 19.26°, intensity 37
4.268 Å, 2θ = 20.81°, intensity 35
3.337 Å, 2θ = 26.71°, intensity 45
3.275 Å, 2θ = 27.23°, intensity 100
3.131 Å, 2θ = 28.51°, intensity 40
3.108 Å, 2θ = 28.72°, intensity 38
2.985 Å, 2θ = 29.94°, intensity 90
2.629 Å, 2θ = 34.10°, intensity 24
2.166 Å, 2θ = 41.70°, intensity 44

```
Sn2SbS2I3
1.0
2.166 -7.852 0.000
2.166 7.852 0.000
0.000 0.000 17.071
Sn Sb S I
4 2 4 6
Direct
0.097 0.903 0.500
0.186 0.814 0.953
0.814 0.186 0.453
0.903 0.097 0.000
0.233 0.767 0.198
0.767 0.233 0.698
0.224 0.776 0.401
0.303 0.697 0.070
0.697 0.303 0.570
0.776 0.224 0.901
0.139 0.861 0.750
0.395 0.605 0.640
0.488 0.512 0.893
0.512 0.488 0.393
0.605 0.395 0.140
0.861 0.139 0.250
```

Diffraction record for Sn2SbS2I3. The powder XRD pattern is theoretical, not measured: it uses a cell relaxed with PBE and Cu Kα (λ = 1.5418 Å).
Kinematic intensities with the Lorentz-polarization factor, no thermal factor.

Largest 10 diffraction maxima, by angle, 10° ≤ 2θ ≤ 90°:
3.526 Å, 2θ = 25.26°, intensity 30
3.232 Å, 2θ = 27.60°, intensity 59
3.169 Å, 2θ = 28.16°, intensity 69
2.947 Å, 2θ = 30.33°, intensity 34
2.889 Å, 2θ = 30.95°, intensity 100
2.520 Å, 2θ = 35.62°, intensity 45
2.162 Å, 2θ = 41.77°, intensity 35
1.934 Å, 2θ = 46.97°, intensity 31
1.877 Å, 2θ = 48.49°, intensity 21
1.373 Å, 2θ = 68.30°, intensity 21

```
Sn2SbS2I3
1.0
2.162 -7.295 0.000
2.162 7.295 0.000
0.000 0.000 16.110
Sn Sb S I
4 2 4 6
Direct
0.135 0.865 0.521
0.135 0.865 0.979
0.865 0.135 0.021
0.865 0.135 0.479
0.203 0.797 0.250
0.797 0.203 0.750
0.271 0.729 0.085
0.271 0.729 0.415
0.729 0.271 0.585
0.729 0.271 0.915
0.150 0.850 0.750
0.429 0.571 0.634
0.429 0.571 0.866
0.571 0.429 0.134
0.571 0.429 0.366
0.850 0.150 0.250
```

Diffraction record for Si4S7I. The powder XRD pattern is theoretical, not measured: it uses a cell relaxed with PBE and Cu Kα (λ = 1.5418 Å).
Kinematic intensities with the Lorentz-polarization factor, no thermal factor.

Largest 10 diffraction maxima, by angle, 10° ≤ 2θ ≤ 90°:
3.892 Å, 2θ = 22.85°, intensity 37
3.869 Å, 2θ = 22.99°, intensity 41
3.772 Å, 2θ = 23.58°, intensity 93
3.193 Å, 2θ = 27.94°, intensity 47
3.113 Å, 2θ = 28.68°, intensity 78
3.066 Å, 2θ = 29.13°, intensity 38
2.841 Å, 2θ = 31.49°, intensity 100
2.750 Å, 2θ = 32.56°, intensity 35
1.794 Å, 2θ = 50.91°, intensity 28
1.740 Å, 2θ = 52.59°, intensity 43

```
Si4S7I
1.0
14.961 0.000 0.000
0.000 6.131 0.000
0.000 0.000 6.226
Si S I
8 14 2
Direct
0.119 0.169 0.000
0.239 0.698 0.058
0.261 0.302 0.558
0.381 0.831 0.500
0.619 0.831 0.500
0.739 0.302 0.558
0.761 0.698 0.058
0.881 0.169 0.000
0.000 0.328 0.115
0.121 0.862 0.170
0.136 0.161 0.656
0.231 0.353 0.152
0.269 0.647 0.652
0.364 0.839 0.156
0.379 0.138 0.670
0.500 0.672 0.615
0.621 0.138 0.670
0.636 0.839 0.156
0.731 0.647 0.652
0.769 0.353 0.152
0.864 0.161 0.656
0.879 0.862 0.170
0.000 0.719 0.636
0.500 0.281 0.136
```